No. 1
ErScIn: theoretical powder XRD pattern (Cu Kα (λ = 1.5418 Å)), based on the GGA-PBE geometry in Alexandria.

Largest 10 diffraction maxima, in order of rising 2θ, 15 to 90 degrees two-theta:
index  two_theta  I_rel
1 0 1  27.06  18.5
1 0 3  33.24  100.0
1 1 0  37.38  36.6
0 0 6  40.87  13.7
2 0 0  53.90  12.4
1 1 6  56.58  20.7
2 0 4  61.30  6.5
2 1 3  64.81  27.9
1 0 9  69.59  10.5
2 0 6  69.79  10.9

Unit cell a=3.402 b=3.402 c=13.248 alpha=90.00 beta=90.00 gamma=90.00
Space group I4mm (No. 107)
Symmetry-distinct sites (fractional):
1 Er 0.000 0.000 0.000
2 Sc 0.000 0.000 0.680
3 In 0.000 0.000 0.331


No. 2
Er6ScIn: theoretical powder XRD pattern (Cu Kα (λ = 1.5418 Å)), based on the GGA-PBE geometry in Alexandria.

Largest 10 diffraction maxima, in order of rising 2θ, 15 to 90 degrees two-theta:
index  two_theta  I_rel
1 1 2  31.98  100.0
0 0 4  36.72  17.2
2 0 0  37.27  33.1
2 0 4  53.32  23.6
2 2 0  53.74  11.5
1 1 6  63.17  14.1
3 1 2  63.91  27.3
2 2 4  66.86  11.9
3 1 6  87.54  11.8
3 3 2  88.21  5.8

Unit cell a=4.825 b=4.825 c=9.790 alpha=90.00 beta=90.00 gamma=90.00
Space group P4/mmm (No. 123)
Symmetry-distinct sites (fractional):
1 Er 0.000 0.000 0.000
2 Er 0.000 0.000 0.500
3 Er 0.000 0.500 0.250
4 Sc 0.500 0.500 0.000
5 In 0.500 0.500 0.500


No. 3
TbErScIn: theoretical powder XRD pattern (Cu Kα (λ = 1.5418 Å)), based on the GGA-PBE geometry in Alexandria.

Largest 10 diffraction maxima, in order of rising 2θ, 15 to 90 degrees two-theta:
index  two_theta  I_rel
1 0 0  18.78  14.7
0 1 1  26.63  13.0
1 1 1  32.78  100.0
0 0 2  37.93  16.8
0 2 0  38.04  16.7
2 0 0  38.14  16.5
2 0 2  54.85  22.8
1 1 3  65.28  13.4
1 3 1  65.42  13.3
3 1 1  65.56  13.2

Unit cell a=4.719 b=4.731 c=4.744 alpha=90.00 beta=90.00 gamma=90.00
Space group Pmmm (No. 47)
Symmetry-distinct sites (fractional):
1 Tb 0.000 0.000 0.000
2 Er 0.000 0.500 0.500
3 Sc 0.500 0.500 0.000
4 In 0.500 0.000 0.500


No. 4
ErTm5Sc2In: theoretical powder XRD pattern (Cu Kα (λ = 1.5418 Å)), based on the GGA-PBE geometry in Alexandria.

Largest 10 diffraction maxima, in order of rising 2θ, 15 to 90 degrees two-theta:
index  two_theta  I_rel
0 6 1  29.03  12.9
1 1 3  31.44  26.6
1 5 2  33.66  100.0
2 0 0  34.39  29.8
0 0 4  34.67  18.5
2 6 1  45.61  8.0
2 0 4  49.64  13.4
0 10 4  59.74  9.0
3 5 2  61.14  17.8
1 5 6  61.50  7.8

Unit cell a=5.215 b=19.329 c=10.348 alpha=90.00 beta=90.00 gamma=90.00
Space group Cmcm (No. 63)
Symmetry-distinct sites (fractional):
1 Er 0.000 0.201 0.250
2 Tm 0.000 0.008 0.250
3 Tm 0.000 0.291 0.547
4 Tm 0.000 0.379 0.250
5 Tm 0.000 0.500 0.000
6 Sc 0.000 0.116 0.538
7 In 0.000 0.407 0.750


No. 5
ErTmScIn: theoretical powder XRD pattern (Cu Kα (λ = 1.5418 Å)), based on the GGA-PBE geometry in Alexandria.

Largest 10 diffraction maxima, in order of rising 2θ, 15 to 90 degrees two-theta:
index  two_theta  I_rel
1 0 0  18.95  11.3
0 1 1  26.78  13.6
1 1 1  32.99  100.0
0 2 0  38.19  33.5
2 0 0  38.45  16.5
0 2 2  55.12  11.4
2 2 0  55.31  22.6
1 3 1  65.76  26.7
3 1 1  66.10  13.1
2 2 2  69.20  11.4

Unit cell a=4.683 b=4.711 c=4.714 alpha=90.00 beta=90.00 gamma=90.00
Space group Pmmm (No. 47)
Symmetry-distinct sites (fractional):
1 Er 0.000 0.000 0.000
2 Tm 0.000 0.500 0.500
3 Sc 0.500 0.500 0.000
4 In 0.500 0.000 0.500


No. 6
ErSc2Zn2In2: theoretical powder XRD pattern (Cu Kα (λ = 1.5418 Å)), based on the GGA-PBE geometry in Alexandria.

Largest 10 diffraction maxima, in order of rising 2θ, 15 to 90 degrees two-theta:
index  two_theta  I_rel
1 0 4  26.32  62.3
1 0 7  33.42  96.6
0 1 8  36.23  25.8
1 1 0  38.85  100.0
0 1 11  45.56  14.6
0 2 4  47.54  12.8
0 2 7  52.16  26.3
2 1 4  63.01  11.1
2 1 7  66.91  24.2
3 0 0  70.35  16.3

Unit cell a=4.6359 b=4.6359 c=25.2219 alpha=90.00 beta=90.00 gamma=120.00
Space group R-3m (No. 166, hexagonal axes)
Symmetry-distinct sites (fractional):
1 Er 0.0000 0.0000 0.0000
2 Sc 0.0000 0.0000 0.1352
3 Zn 0.0000 0.0000 0.4369
4 In 0.0000 0.0000 0.2623